Record 1
PrZnGa2Au2: computed powder XRD pattern (CuKα), based on a crystal structure in Alexandria, relaxed with PBE.

Structure:
```
6
Lattice="4.441 0.000 0.000 -2.220 3.846 0.000 0.000 0.000 7.065" Properties=species:S:1:pos:R:3 pbc="T T T"
Pr 0.000 0.000 0.000
Zn 0.000 0.000 3.532
Ga 0.000 2.564 5.137
Ga 2.220 1.282 1.927
Au 0.000 2.564 2.219
Au 2.220 1.282 4.846
```

Peak list (12 most intense, 5° ≤ 2θ ≤ 70°, low angle first)
2θ (°)	I/Imax
12.53	9
26.39	54
34.48	100
38.22	14
40.63	82
48.42	7
49.10	10
54.32	27
57.01	27
57.41	11
65.57	9
69.99	25

Record 2
Hf6IrPd2: computed powder XRD pattern (CuKα), based on a crystal structure in Alexandria, relaxed with PBE.

Structure:
```
18
Lattice="5.589 0.000 0.000 0.000 7.231 0.000 -5.421 0.000 9.100" Properties=species:S:1:pos:R:3 pbc="T T T"
Hf -0.914 0.458 2.192
Hf -3.625 3.158 6.742
Hf 0.797 5.294 0.586
Hf -1.914 5.552 5.136
Hf 1.910 1.086 0.351
Hf -0.801 2.529 4.901
Hf 0.969 4.702 4.199
Hf -1.742 6.144 8.749
Hf 2.082 1.679 3.965
Hf -0.629 1.937 8.515
Hf 3.792 4.073 2.358
Hf 1.082 6.773 6.908
Ir 0.084 0.000 4.550
Ir 2.795 3.615 0.000
Pd -2.021 0.682 6.525
Pd 0.689 2.934 1.975
Pd -0.522 4.297 7.125
Pd 2.189 6.549 2.575
```

Peak list (12 most intense, 5° ≤ 2θ ≤ 70°, low angle first)
2θ (°)	I/Imax
31.15	71
31.61	41
33.35	84
34.41	53
35.38	41
35.70	100
36.01	83
36.15	34
39.59	61
40.77	30
41.93	66
45.37	34

Record 3
TcMo: computed powder XRD pattern (CuKα), based on a crystal structure in Alexandria, relaxed with PBE.

Structure:
```
2
Lattice="1.560 -2.223 0.000 1.560 2.223 0.000 0.000 0.000 4.407" Properties=species:S:1:pos:R:3 pbc="T T T"
Tc 0.000 0.000 0.000
Mo 1.560 0.000 2.204
```

Peak list (5 most intense, 5° ≤ 2θ ≤ 70°, low angle first)
2θ (°)	I/Imax
40.59	25
40.84	100
40.96	25
59.03	16
59.24	8